(1)
Structure and calculated powder diffractogram of Y2AgSb (a crystal structure in Alexandria, relaxed with GGA-PBE; copper Kα).
Neutral-atom scattering factors, no anomalous dispersion.

The 12 most intense peaks (2θ from 10° to 80°), by angle:
| two_theta | I/Imax |
| --- | --- |
| 22.42 | 1 |
| 24.83 | 2 |
| 33.70 | 100 |
| 35.40 | 44 |
| 42.31 | 1 |
| 45.77 | 10 |
| 50.93 | 15 |
| 59.15 | 19 |
| 62.47 | 32 |
| 70.86 | 11 |
| 74.90 | 5 |
| 76.87 | 9 |

Structural model:
```
data_Y2AgSb
_space_group_name_H-M_alt 'P 4/m m m'
_space_group_IT_number 123
_space_group_name_Hall '-P 4 2'
_cell_length_a 5.072
_cell_length_b 5.072
_cell_length_c 3.965
_cell_angle_alpha 90.00
_cell_angle_beta 90.00
_cell_angle_gamma 90.00
loop_
_atom_site_label
_atom_site_type_symbol
_atom_site_fract_x
_atom_site_fract_y
_atom_site_fract_z
Y1 Y 0.000 0.500 0.000
Ag1 Ag 0.000 0.000 0.500
Sb1 Sb 0.500 0.500 0.500
```

(2)
Structure and calculated powder diffractogram of TiAu2 (a crystal structure in Alexandria, relaxed with GGA-PBE; copper Kα).
Neutral-atom scattering factors, no anomalous dispersion.

The 12 most intense peaks (2θ from 10° to 80°), by angle:
| two_theta | I/Imax |
| --- | --- |
| 20.59 | 13 |
| 27.75 | 33 |
| 36.68 | 67 |
| 40.77 | 100 |
| 42.43 | 9 |
| 52.85 | 24 |
| 56.87 | 6 |
| 60.73 | 8 |
| 64.83 | 6 |
| 68.82 | 43 |
| 76.86 | 16 |
| 78.00 | 8 |

Structural model:
```
data_TiAu2
_space_group_name_H-M_alt 'I 4/m m m'
_space_group_IT_number 139
_space_group_name_Hall '-I 4 2'
_cell_length_a 3.465
_cell_length_b 3.465
_cell_length_c 8.629
_cell_angle_alpha 90.00
_cell_angle_beta 90.00
_cell_angle_gamma 90.00
loop_
_atom_site_label
_atom_site_type_symbol
_atom_site_fract_x
_atom_site_fract_y
_atom_site_fract_z
Ti1 Ti 0.000 0.000 0.000
Au1 Au 0.000 0.000 0.336
```

(3)
Structure and calculated powder diffractogram of ThAu12 (a crystal structure in Alexandria, relaxed with GGA-PBE; copper Kα).
Neutral-atom scattering factors, no anomalous dispersion.

The 12 most intense peaks (2θ from 10° to 80°), by angle:
| two_theta | I/Imax |
| --- | --- |
| 13.50 | 25 |
| 22.13 | 18 |
| 26.01 | 100 |
| 27.19 | 37 |
| 38.83 | 37 |
| 41.29 | 80 |
| 47.34 | 45 |
| 48.05 | 68 |
| 62.83 | 27 |
| 70.31 | 43 |
| 76.38 | 15 |
| 76.92 | 12 |

Structural model:
```
data_ThAu12
_space_group_name_H-M_alt 'F m -3 m'
_space_group_IT_number 225
_space_group_name_Hall '-F 4 2 3'
_cell_length_a 11.360
_cell_length_b 11.360
_cell_length_c 11.360
_cell_angle_alpha 90.00
_cell_angle_beta 90.00
_cell_angle_gamma 90.00
loop_
_atom_site_label
_atom_site_type_symbol
_atom_site_fract_x
_atom_site_fract_y
_atom_site_fract_z
Th1 Th 0.000 0.000 0.000
Au1 Au 0.000 0.170 0.330
```

(4)
Structure and calculated powder diffractogram of Y6ScIn (a crystal structure in Alexandria, relaxed with GGA-PBE; copper Kα).
Neutral-atom scattering factors, no anomalous dispersion.

The 12 most intense peaks (2θ from 10° to 80°), by angle:
| two_theta | I/Imax |
| --- | --- |
| 20.25 | 3 |
| 27.33 | 1 |
| 31.53 | 100 |
| 36.08 | 17 |
| 36.80 | 33 |
| 52.49 | 23 |
| 53.03 | 11 |
| 62.05 | 13 |
| 63.01 | 26 |
| 65.82 | 11 |
| 76.55 | 2 |
| 78.30 | 3 |

Structural model:
```
data_Y6ScIn
_space_group_name_H-M_alt 'P 4/m m m'
_space_group_IT_number 123
_space_group_name_Hall '-P 4 2'
_cell_length_a 4.884
_cell_length_b 4.884
_cell_length_c 9.957
_cell_angle_alpha 90.00
_cell_angle_beta 90.00
_cell_angle_gamma 90.00
loop_
_atom_site_label
_atom_site_type_symbol
_atom_site_fract_x
_atom_site_fract_y
_atom_site_fract_z
Y1 Y 0.000 0.000 0.000
Y2 Y 0.000 0.000 0.500
Y3 Y 0.000 0.500 0.248
Sc1 Sc 0.500 0.500 0.500
In1 In 0.500 0.500 0.000
```

(5)
Structure and calculated powder diffractogram of MgCu9Sb2 (a crystal structure in Alexandria, relaxed with GGA-PBE; copper Kα).
Neutral-atom scattering factors, no anomalous dispersion.

The 12 most intense peaks (2θ from 10° to 80°), by angle:
| two_theta | I/Imax |
| --- | --- |
| 25.00 | 18 |
| 32.68 | 27 |
| 35.65 | 79 |
| 41.55 | 39 |
| 42.07 | 98 |
| 44.04 | 45 |
| 45.47 | 100 |
| 49.12 | 20 |
| 64.03 | 24 |
| 68.44 | 29 |
| 70.95 | 19 |
| 75.46 | 28 |

Structural model:
```
data_MgCu9Sb2
_space_group_name_H-M_alt 'R -3 m'
_space_group_IT_number 166
_space_group_name_Hall '-R 3 2"'
_cell_length_a 5.0390
_cell_length_b 5.0390
_cell_length_c 24.6543
_cell_angle_alpha 90.00
_cell_angle_beta 90.00
_cell_angle_gamma 120.00
loop_
_atom_site_label
_atom_site_type_symbol
_atom_site_fract_x
_atom_site_fract_y
_atom_site_fract_z
Mg1 Mg 0.0000 0.0000 0.0000
Cu1 Cu 0.0000 0.0000 0.3329
Cu2 Cu 0.0000 0.0000 0.5000
Cu3 Cu 0.0010 0.5005 0.9177
Sb1 Sb 0.0000 0.0000 0.1320
```

(6)
Structure and calculated powder diffractogram of As2PPd6 (a crystal structure in Alexandria, relaxed with GGA-PBE; copper Kα).
Neutral-atom scattering factors, no anomalous dispersion.

The 12 most intense peaks (2θ from 10° to 80°), by angle:
| two_theta | I/Imax |
| --- | --- |
| 33.81 | 60 |
| 35.58 | 39 |
| 37.71 | 58 |
| 38.95 | 58 |
| 40.12 | 28 |
| 40.90 | 100 |
| 41.28 | 30 |
| 41.48 | 36 |
| 41.82 | 28 |
| 42.18 | 26 |
| 43.18 | 41 |
| 44.02 | 30 |

Structural model:
```
data_As2PPd6
_space_group_name_H-M_alt 'P 1 21/c 1'
_space_group_IT_number 14
_space_group_name_Hall '-P 2ybc'
_cell_length_a 5.111
_cell_length_b 7.360
_cell_length_c 8.575
_cell_angle_alpha 90.00
_cell_angle_beta 116.92
_cell_angle_gamma 90.00
loop_
_atom_site_label
_atom_site_type_symbol
_atom_site_fract_x
_atom_site_fract_y
_atom_site_fract_z
As1 As 0.208 0.109 0.261
P1 P 0.500 0.000 0.000
Pd1 Pd 0.052 0.172 0.934
Pd2 Pd 0.247 0.030 0.690
Pd3 Pd 0.354 0.692 0.944
```

(7)
Structure and calculated powder diffractogram of NaSr3Hg8 (a crystal structure in Alexandria, relaxed with GGA-PBE; copper Kα).
Neutral-atom scattering factors, no anomalous dispersion.

The 12 most intense peaks (2θ from 10° to 80°), by angle:
| two_theta | I/Imax |
| --- | --- |
| 20.47 | 41 |
| 24.45 | 100 |
| 26.63 | 57 |
| 29.10 | 57 |
| 33.82 | 30 |
| 34.09 | 38 |
| 34.47 | 47 |
| 36.94 | 65 |
| 37.20 | 34 |
| 45.21 | 57 |
| 50.10 | 33 |
| 62.90 | 28 |

Structural model:
```
data_NaSr3Hg8
_space_group_name_H-M_alt 'I -4 2 m'
_space_group_IT_number 121
_space_group_name_Hall 'I -4 2'
_cell_length_a 8.679
_cell_length_b 8.679
_cell_length_c 10.519
_cell_angle_alpha 90.00
_cell_angle_beta 90.00
_cell_angle_gamma 90.00
loop_
_atom_site_label
_atom_site_type_symbol
_atom_site_fract_x
_atom_site_fract_y
_atom_site_fract_z
Na1 Na 0.000 0.000 0.000
Sr1 Sr 0.000 0.000 0.500
Sr2 Sr 0.000 0.500 0.250
Hg1 Hg 0.136 0.136 0.772
Hg2 Hg 0.238 0.238 0.031
```

(8)
Structure and calculated powder diffractogram of CeBeBPt6 (a crystal structure in Alexandria, relaxed with GGA-PBE; copper Kα).
Neutral-atom scattering factors, no anomalous dispersion.

The 12 most intense peaks (2θ from 10° to 80°), by angle:
| two_theta | I/Imax |
| --- | --- |
| 23.44 | 12 |
| 33.02 | 43 |
| 33.75 | 100 |
| 35.66 | 15 |
| 37.21 | 9 |
| 44.86 | 23 |
| 47.93 | 58 |
| 51.89 | 14 |
| 56.81 | 16 |
| 62.89 | 12 |
| 70.97 | 10 |
| 75.57 | 8 |

Structural model:
```
data_CeBeBPt6
_space_group_name_H-M_alt 'I m m a'
_space_group_IT_number 74
_space_group_name_Hall '-I 2b 2'
_cell_length_a 7.049
_cell_length_b 8.082
_cell_length_c 10.852
_cell_angle_alpha 90.00
_cell_angle_beta 90.00
_cell_angle_gamma 90.00
loop_
_atom_site_label
_atom_site_type_symbol
_atom_site_fract_x
_atom_site_fract_y
_atom_site_fract_z
Ce1 Ce 0.000 0.250 0.147
Be1 Be 0.250 0.250 0.750
B1 B 0.000 0.000 0.500
Pt1 Pt 0.000 0.250 0.429
Pt2 Pt 0.000 0.250 0.883
Pt3 Pt 0.228 0.019 0.626
```

(9)
Structure and calculated powder diffractogram of K4Ce3ScSe8 (a crystal structure in Alexandria, relaxed with GGA-PBE; copper Kα).
Neutral-atom scattering factors, no anomalous dispersion.

The 12 most intense peaks (2θ from 10° to 80°), by angle:
| two_theta | I/Imax |
| --- | --- |
| 11.54 | 41 |
| 28.61 | 100 |
| 36.51 | 16 |
| 39.64 | 33 |
| 42.14 | 36 |
| 43.84 | 9 |
| 50.06 | 10 |
| 51.73 | 18 |
| 59.23 | 10 |
| 65.29 | 10 |
| 68.84 | 14 |
| 75.34 | 9 |

Structural model:
```
data_K4Ce3ScSe8
_space_group_name_H-M_alt 'R -3 m'
_space_group_IT_number 166
_space_group_name_Hall '-R 3 2"'
_cell_length_a 8.5779
_cell_length_b 8.5779
_cell_length_c 23.0014
_cell_angle_alpha 90.00
_cell_angle_beta 90.00
_cell_angle_gamma 120.00
loop_
_atom_site_label
_atom_site_type_symbol
_atom_site_fract_x
_atom_site_fract_y
_atom_site_fract_z
K1 K 0.0000 0.0000 0.0000
K2 K 0.0000 0.5000 0.0000
Ce1 Ce 0.0000 0.5000 0.5000
Sc1 Sc 0.0000 0.0000 0.5000
Se1 Se 0.0000 0.0000 0.2377
Se2 Se 0.0171 0.5085 0.2344
```